The following is a computed X-ray powder pattern of AcTcNiO6. It was derived from the PBE+U geometry in Alexandria, using CuKα.

Crystal structure
```
data_AcTcNiO6
_chemical_formula_sum 'Ac1 Tc1 Ni1 O6'
_space_group_name_H-M_alt 'P 1'
_space_group_IT_number 1
_cell_length_a 5.272
_cell_length_b 5.272
_cell_length_c 5.255
_cell_angle_alpha 90.00
_cell_angle_beta 90.00
_cell_angle_gamma 120.00
loop_
_space_group_symop_operation_xyz
'x,y,z'
loop_
_atom_site_label
_atom_site_type_symbol
_atom_site_fract_x
_atom_site_fract_y
_atom_site_fract_z
Ac1 Ac 0.000 0.000 0.000
Tc1 Tc 0.667 0.333 0.500
Ni1 Ni 0.333 0.667 0.500
O1 O 0.390 0.021 0.707
O2 O 0.390 0.368 0.293
O3 O 0.632 0.021 0.293
O4 O 0.632 0.610 0.707
O5 O 0.979 0.368 0.707
O6 O 0.979 0.610 0.293
```

Main lines, in order of rising 2θ (2θ = 10–80°):
d [Å]  I_rel
4.566  16
3.447  100
2.636  30
2.094  23
1.861  33
1.640  23
1.636  11
1.522  9
1.317  11
1.231  10